Starting from a cell relaxed with PBE, the powder XRD pattern of Nd8Sm6Al was simulated for Cu Kα.
No peak broadening, texture or thermal motion is included.

Crystal structure
```
data_Nd8Sm6Al
_chemical_formula_sum 'Nd8 Sm6 Al1'
_space_group_name_H-M_alt 'P -3'
_space_group_IT_number 147
_space_group_name_Hall '-P 3'
_cell_length_a 9.4599
_cell_length_b 9.4599
_cell_length_c 6.5543
_cell_angle_alpha 90.00
_cell_angle_beta 90.00
_cell_angle_gamma 120.00
loop_
_atom_site_label
_atom_site_fract_x
_atom_site_fract_y
_atom_site_fract_z
Nd1 0.0427 0.2640 0.1895
Nd2 0.3333 0.6667 0.1468
Sm1 0.0950 0.4486 0.6720
Al1 0.0000 0.0000 0.5000
```

Most intense lines, 10 to 90 degrees two-theta, most intense first:
2θ (°)	Rel. int.
32.0	100
28.8	27
51.1	27
33.3	24
29.4	16
27.2	14
61.5	12
25.6	10
40.1	9
59.7	8